This entry pairs a crystal structure of AcAl4Ga with its calculated PXRD pattern. Radiation: Cu Kα, 1.54184 Å. Structure: DFT lattice parameters and positions (PBE).
Neutral-atom scattering factors, no anomalous dispersion.

Top 10 peaks for 10° ≤ 2θ ≤ 90°, by angle:
two_theta  intensity
18.96  71.3
21.93  24.9
31.21  84.1
36.77  100.0
48.98  20.0
55.54  33.6
59.23  34.0
65.10  19.3
68.48  14.9
73.96  14.5

Structural model:
Lattice parameters (Å, degrees): 5.732 5.732 5.732 60.00 60.00 60.00
Fractional positions:
Ac1 0.000 0.000 0.000
Al1 0.376 0.376 0.376
Al2 0.376 0.376 0.873
Al3 0.376 0.873 0.376
Al4 0.873 0.376 0.376
Ga1 0.750 0.750 0.750

***

This entry pairs a crystal structure of AcAl6Ga2 with its calculated PXRD pattern. Radiation: Cu Kα, 1.54184 Å. Structure: DFT lattice parameters and positions (PBE).
Neutral-atom scattering factors, no anomalous dispersion.

Top 10 peaks for 10° ≤ 2θ ≤ 90°, by angle:
two_theta  intensity
22.88  35.2
27.83  84.1
29.86  62.0
31.25  100.0
34.65  99.3
35.12  99.6
42.58  64.8
42.74  67.2
56.15  57.0
61.91  42.8

Structural model:
Lattice parameters (Å, degrees): 4.232 4.232 9.819 90.00 90.00 90.00
Fractional positions:
Ac1 0.000 0.000 0.000
Al1 0.000 0.000 0.500
Al2 0.000 0.500 0.300
Al3 0.000 0.500 0.700
Al4 0.500 0.000 0.300
Al5 0.500 0.000 0.700
Al6 0.500 0.500 0.500
Ga1 0.500 0.500 0.134
Ga2 0.500 0.500 0.866

***

This entry pairs a crystal structure of Ac3AlGa4 with its calculated PXRD pattern. Radiation: Cu Kα, 1.54184 Å. Structure: DFT lattice parameters and positions (PBE).
Neutral-atom scattering factors, no anomalous dispersion.

Top 10 peaks for 10° ≤ 2θ ≤ 90°, by angle:
two_theta  intensity
22.93  72.0
25.41  100.0
32.93  57.1
33.49  27.2
35.55  36.7
35.99  50.4
37.54  26.2
42.73  29.4
45.19  30.1
46.63  23.0

Structural model:
Lattice parameters (Å, degrees): 8.298 8.298 8.298 144.57 132.93 60.27
Fractional positions:
Ac1 0.000 0.000 0.000
Ac2 0.318 0.818 0.500
Ac3 0.682 0.182 0.500
Al1 0.500 0.500 0.000
Ga1 0.085 0.384 0.701
Ga2 0.317 0.616 0.701
Ga3 0.683 0.384 0.299
Ga4 0.915 0.616 0.299